# 1
Structure and theoretical X-ray powder pattern of SrPmNiAu (the GGA-PBE geometry in Alexandria; Cu Kα).
Peak positions follow from Bragg's law for the DFT cell and can differ from measured ones.

Principal peaks in the range 10 to 90 degrees two-theta, in order of rising 2θ:
2θ 21.0, I 19; 2θ 34.7, I 100; 2θ 40.9, I 11; 2θ 49.9, I 18; 2θ 54.7, I 5; 2θ 62.2, I 37; 2θ 66.4, I 4; 2θ 73.2, I 11; 2θ 77.1, I 4; 2θ 83.6, I 16

Crystal structure
Unit cell a=5.1728 b=5.1728 c=5.1728 alpha=60.00 beta=60.00 gamma=60.00
Sites, in units of the cell vectors:
Sr: 0.0000 0.0000 0.0000
Pm: 0.5000 0.5000 0.5000
Ni: 0.2500 0.2500 0.2500
Au: 0.7500 0.7500 0.7500

=====

# 2
Structure and theoretical X-ray powder pattern of LaCeCu2Si2 (the GGA-PBE geometry in Alexandria; Cu Kα).
Peak positions follow from Bragg's law for the DFT cell and can differ from measured ones.

Principal peaks in the range 10 to 90 degrees two-theta, in order of rising 2θ:
2θ 24.5, I 24; 2θ 33.1, I 100; 2θ 43.1, I 38; 2θ 44.6, I 11; 2θ 51.6, I 8; 2θ 55.4, I 23; 2θ 63.8, I 22; 2θ 72.7, I 20; 2θ 74.8, I 9; 2θ 79.1, I 6

Crystal structure
Unit cell a=4.1940 b=4.1940 c=8.1240 alpha=90.00 beta=90.00 gamma=120.00
Sites, in units of the cell vectors:
La: 0.0000 0.0000 0.0000
Ce: 0.0000 0.0000 0.5000
Cu: 0.3333 0.6667 0.7379
Cu: 0.6667 0.3333 0.2621
Si: 0.3333 0.6667 0.2628
Si: 0.6667 0.3333 0.7372

=====

# 3
Structure and theoretical X-ray powder pattern of ReHgBO6 (the GGA-PBE geometry in Alexandria; Cu Kα).
Peak positions follow from Bragg's law for the DFT cell and can differ from measured ones.

Principal peaks in the range 10 to 90 degrees two-theta, in order of rising 2θ:
2θ 18.9, I 100; 2θ 19.3, I 82; 2θ 22.2, I 90; 2θ 24.9, I 43; 2θ 25.2, I 64; 2θ 28.7, I 39; 2θ 28.9, I 29; 2θ 30.9, I 29; 2θ 40.7, I 24; 2θ 51.4, I 23

Crystal structure
Unit cell a=5.5012 b=5.8539 c=6.7003 alpha=96.11 beta=106.62 gamma=113.52
Sites, in units of the cell vectors:
Re: 0.0000 0.0000 0.0000
Hg: 0.0688 0.5666 0.4354
B: 0.5277 0.0712 0.3905
O: 0.0402 0.8839 0.7688
O: 0.3366 0.1281 0.2298
O: 0.4333 0.8752 0.4814
O: 0.7356 0.7510 0.0468
O: 0.8102 0.2193 0.4533
O: 0.9081 0.2485 0.9708

=====

# 4
Structure and theoretical X-ray powder pattern of DyErAsS (the GGA-PBE geometry in Alexandria; Cu Kα).
Peak positions follow from Bragg's law for the DFT cell and can differ from measured ones.

Principal peaks in the range 10 to 90 degrees two-theta, in order of rising 2θ:
2θ 27.3, I 46; 2θ 31.7, I 100; 2θ 45.4, I 73; 2θ 53.8, I 23; 2θ 56.4, I 26; 2θ 72.9, I 9; 2θ 75.1, I 11; 2θ 75.2, I 22; 2θ 83.7, I 8; 2θ 83.9, I 17

Crystal structure
Unit cell a=3.9948 b=3.9948 c=5.6624 alpha=90.00 beta=90.00 gamma=90.00
Sites, in units of the cell vectors:
Dy: 0.0000 0.0000 0.0000
Er: 0.5000 0.5000 0.5000
As: 0.0000 0.0000 0.5000
S: 0.5000 0.5000 0.0000

=====

# 5
Structure and theoretical X-ray powder pattern of Pm12ScGe7 (the GGA-PBE geometry in Alexandria; Cu Kα).
Peak positions follow from Bragg's law for the DFT cell and can differ from measured ones.

Principal peaks in the range 10 to 90 degrees two-theta, in order of rising 2θ:
2θ 26.6, I 46; 2θ 26.7, I 14; 2θ 30.8, I 100; 2θ 44.0, I 37; 2θ 44.2, I 37; 2θ 52.2, I 20; 2θ 54.7, I 20; 2θ 72.7, I 16; 2θ 73.0, I 16; 2θ 81.1, I 12

Crystal structure
Unit cell a=9.1906 b=9.1906 c=9.1906 alpha=107.57 beta=107.57 gamma=107.57
Sites, in units of the cell vectors:
Pm: 0.0328 0.1167 0.3484
Pm: 0.1167 0.3484 0.0328
Pm: 0.1891 0.5754 0.7271
Pm: 0.2729 0.8109 0.4246
Pm: 0.3484 0.0328 0.1167
Pm: 0.4246 0.2729 0.8109
Pm: 0.5754 0.7271 0.1891
Pm: 0.6516 0.9672 0.8833
Pm: 0.7271 0.1891 0.5754
Pm: 0.8109 0.4246 0.2729
Pm: 0.8833 0.6516 0.9672
Pm: 0.9672 0.8833 0.6516
Sc: 0.5000 0.5000 0.5000
Ge: 0.0000 0.0000 0.0000
Ge: 0.1597 0.4645 0.3838
Ge: 0.3838 0.1597 0.4645
Ge: 0.4645 0.3838 0.1597
Ge: 0.5355 0.6162 0.8403
Ge: 0.6162 0.8403 0.5355
Ge: 0.8403 0.5355 0.6162

=====

# 6
Structure and theoretical X-ray powder pattern of Na2VS3 (the GGA-PBE geometry in Alexandria; Cu Kα).
Peak positions follow from Bragg's law for the DFT cell and can differ from measured ones.

Principal peaks in the range 10 to 90 degrees two-theta, in order of rising 2θ:
2θ 11.3, I 58; 2θ 14.9, I 100; 2θ 24.2, I 39; 2θ 29.9, I 34; 2θ 31.4, I 98; 2θ 32.9, I 74; 2θ 34.2, I 36; 2θ 35.4, I 30; 2θ 48.1, I 42; 2θ 52.1, I 34

Crystal structure
Unit cell a=8.9753 b=3.7868 c=15.8474 alpha=90.00 beta=90.00 gamma=90.00
Sites, in units of the cell vectors:
Na: 0.0655 0.2500 0.2104
Na: 0.2305 0.7500 0.4520
Na: 0.2695 0.2500 0.9520
Na: 0.4345 0.7500 0.7104
Na: 0.5655 0.2500 0.2896
Na: 0.7305 0.7500 0.0480
Na: 0.7695 0.2500 0.5480
Na: 0.9345 0.7500 0.7896
V: 0.1429 0.2500 0.6395
V: 0.3571 0.7500 0.1395
V: 0.6429 0.2500 0.8605
V: 0.8571 0.7500 0.3605
S: 0.0088 0.7500 0.6054
S: 0.1516 0.7500 0.0691
S: 0.1853 0.2500 0.7736
S: 0.3147 0.7500 0.2736
S: 0.3484 0.2500 0.5691
S: 0.4912 0.2500 0.1054
S: 0.5088 0.7500 0.8946
S: 0.6516 0.7500 0.4309
S: 0.6853 0.2500 0.7264
S: 0.8147 0.7500 0.2264
S: 0.8484 0.2500 0.9309
S: 0.9912 0.2500 0.3946

=====

# 7
Structure and theoretical X-ray powder pattern of PmSm2Te4 (the GGA-PBE geometry in Alexandria; Cu Kα).
Peak positions follow from Bragg's law for the DFT cell and can differ from measured ones.

Principal peaks in the range 10 to 90 degrees two-theta, in order of rising 2θ:
2θ 21.3, I 60; 2θ 26.4, I 65; 2θ 28.2, I 78; 2θ 30.0, I 100; 2θ 36.6, I 55; 2θ 39.0, I 31; 2θ 41.1, I 44; 2θ 41.7, I 55; 2θ 50.1, I 22; 2θ 60.0, I 29

Crystal structure
Unit cell a=7.6248 b=7.6248 c=15.2046 alpha=90.00 beta=90.00 gamma=147.02
Sites, in units of the cell vectors:
Pm: 0.1267 0.8733 0.7500
Pm: 0.8733 0.1267 0.2500
Sm: 0.3686 0.6314 0.5691
Sm: 0.3686 0.6314 0.9309
Sm: 0.6314 0.3686 0.0691
Sm: 0.6314 0.3686 0.4309
Te: 0.0000 0.0000 0.0000
Te: 0.0000 0.0000 0.5000
Te: 0.2784 0.7216 0.1229
Te: 0.2784 0.7216 0.3771
Te: 0.4680 0.5320 0.7500
Te: 0.5320 0.4680 0.2500
Te: 0.7216 0.2784 0.6229
Te: 0.7216 0.2784 0.8771

=====

# 8
Structure and theoretical X-ray powder pattern of CaTcO4 (the GGA-PBE geometry in Alexandria; Cu Kα).
Peak positions follow from Bragg's law for the DFT cell and can differ from measured ones.

Principal peaks in the range 10 to 90 degrees two-theta, in order of rising 2θ:
2θ 18.5, I 26; 2θ 28.4, I 100; 2θ 30.6, I 11; 2θ 34.0, I 13; 2θ 46.4, I 27; 2θ 48.8, I 12; 2θ 53.1, I 14; 2θ 57.5, I 23; 2θ 58.8, I 9; 2θ 75.0, I 10

Crystal structure
Unit cell a=6.9293 b=6.9293 c=6.9293 alpha=135.27 beta=135.27 gamma=65.11
Sites, in units of the cell vectors:
Ca: 0.3750 0.1250 0.2500
Ca: 0.6250 0.8750 0.7500
Tc: 0.1250 0.3750 0.7500
Tc: 0.8750 0.6250 0.2500
O: 0.0543 0.2046 0.3498
O: 0.2046 0.5543 0.3497
O: 0.2954 0.1451 0.8497
O: 0.3549 0.7046 0.1502
O: 0.6451 0.2954 0.8498
O: 0.7046 0.8549 0.1503
O: 0.7954 0.4457 0.6503
O: 0.9457 0.7954 0.6502

=====

# 9
Structure and theoretical X-ray powder pattern of AgH5Pd7 (the GGA-PBE geometry in Alexandria; Cu Kα).
Peak positions follow from Bragg's law for the DFT cell and can differ from measured ones.

Principal peaks in the range 10 to 90 degrees two-theta, in order of rising 2θ:
2θ 33.4, I 29; 2θ 37.5, I 100; 2θ 37.6, I 76; 2θ 38.9, I 49; 2θ 39.1, I 28; 2θ 42.1, I 23; 2θ 42.9, I 22; 2θ 44.3, I 22; 2θ 46.0, I 42; 2θ 74.1, I 20

Crystal structure
Unit cell a=3.9434 b=4.9964 c=15.9836 alpha=90.00 beta=90.03 gamma=113.23
Sites, in units of the cell vectors:
Ag: 0.0000 0.0000 0.0000
Ag: 0.1581 0.3113 0.5001
H: 0.0078 0.0115 0.6606
H: 0.1872 0.2990 0.1604
H: 0.2429 0.9137 0.8006
H: 0.4343 0.7998 0.5637
H: 0.4442 0.8996 0.1641
H: 0.5025 0.4907 0.8629
H: 0.6561 0.8211 0.3632
H: 0.7122 0.4095 0.6641
H: 0.7318 0.5152 0.0634
H: 0.9179 0.3989 0.3010
Pd: 0.0768 0.1149 0.3323
Pd: 0.0810 0.1965 0.8323
Pd: 0.2008 0.3987 0.6638
Pd: 0.2864 0.5700 0.0786
Pd: 0.3556 0.7075 0.2716
Pd: 0.3932 0.7953 0.8938
Pd: 0.4531 0.9130 0.4567
Pd: 0.5015 0.9932 0.7020
Pd: 0.6554 0.3176 0.2025
Pd: 0.7050 0.3983 0.9565
Pd: 0.7645 0.5161 0.3940
Pd: 0.8023 0.6044 0.7714
Pd: 0.8716 0.7406 0.5786
Pd: 0.9559 0.9120 0.1637